Record 1
Sm8Tl2Sn: computed X-ray diffraction stick pattern (Cu Kα), based on a DFT-relaxed cell (GGA-PBE, Alexandria).
Peak positions follow from Bragg's law for the DFT cell and can differ from measured ones.

Cell and atoms:
```
data_Sm8Tl2Sn
_chemical_formula_sum 'Sm16 Tl4 Sn2'
_cell_length_a 8.902
_cell_length_b 15.077
_cell_length_c 5.639
_cell_angle_alpha 90.00
_cell_angle_beta 112.88
_cell_angle_gamma 90.00
_space_group_name_H-M_alt 'C 1 2/m 1'
_space_group_IT_number 12
_space_group_name_Hall '-C 2y'
loop_
_atom_site_label
_atom_site_fract_x
_atom_site_fract_y
_atom_site_fract_z
Sm1 0.000 0.220 0.000
Sm2 0.100 0.500 0.798
Sm3 0.201 0.110 0.607
Tl1 0.000 0.307 0.500
Sn1 0.000 0.000 0.000
```

The 10 most intense peaks (2θ from 10° to 90°), sorted by position:
index	2θ/deg	d (Å)	Rel. int.
2 2 0	24.72	3.602	27
0 4 1	29.27	3.051	55
1 3 1	29.60	3.018	44
3 1 -1	31.04	2.881	84
2 4 0	32.26	2.775	58
1 1 -2	32.40	2.763	41
2 0 1	32.66	2.742	27
1 5 -1	33.98	2.639	100
0 2 2	36.60	2.455	26
4 4 -2	50.86	1.795	23

=====

Record 2
Sm4Tl3Sn: computed X-ray diffraction stick pattern (Cu Kα), based on a DFT-relaxed cell (GGA-PBE, Alexandria).
Peak positions follow from Bragg's law for the DFT cell and can differ from measured ones.

Cell and atoms:
```
data_Sm4Tl3Sn
_chemical_formula_sum 'Sm4 Tl3 Sn1'
_cell_length_a 3.780
_cell_length_b 5.504
_cell_length_c 11.012
_cell_angle_alpha 90.00
_cell_angle_beta 90.00
_cell_angle_gamma 90.00
_space_group_name_H-M_alt 'P m m m'
_space_group_IT_number 47
_space_group_name_Hall '-P 2 2'
loop_
_atom_site_label
_atom_site_fract_x
_atom_site_fract_y
_atom_site_fract_z
Sm1 0.000 0.000 0.000
Sm2 0.000 0.000 0.500
Sm3 0.000 0.500 0.246
Tl1 0.500 0.000 0.256
Tl2 0.500 0.500 0.500
Sn1 0.500 0.500 0.000
```

The 10 most intense peaks (2θ from 10° to 90°), sorted by position:
index	2θ/deg	d (Å)	Rel. int.
0 2 0	32.53	2.752	52
1 1 2	33.03	2.712	100
0 2 4	46.67	1.946	19
2 0 0	48.15	1.890	9
1 3 2	58.36	1.581	40
2 2 0	59.32	1.558	19
2 2 4	69.31	1.356	12
0 4 4	77.56	1.231	9
1 3 6	77.83	1.227	9
3 1 2	80.06	1.199	8

=====

Record 3
Sm6Tl3Sn: computed X-ray diffraction stick pattern (Cu Kα), based on a DFT-relaxed cell (GGA-PBE, Alexandria).
Peak positions follow from Bragg's law for the DFT cell and can differ from measured ones.

Cell and atoms:
```
data_Sm6Tl3Sn
_chemical_formula_sum 'Sm12 Tl6 Sn2'
_cell_length_a 11.920
_cell_length_b 3.813
_cell_length_c 14.357
_cell_angle_alpha 90.00
_cell_angle_beta 105.78
_cell_angle_gamma 90.00
_space_group_name_H-M_alt 'P 1 21/m 1'
_space_group_IT_number 11
_space_group_name_Hall '-P 2yb'
loop_
_atom_site_label
_atom_site_fract_x
_atom_site_fract_y
_atom_site_fract_z
Sm1 0.006 0.250 0.174
Sm2 0.108 0.750 0.410
Sm3 0.237 0.250 0.825
Sm4 0.320 0.250 0.259
Sm5 0.361 0.250 0.629
Sm6 0.377 0.750 0.032
Tl1 0.118 0.750 0.636
Tl2 0.146 0.250 0.017
Tl3 0.390 0.750 0.450
Sn1 0.454 0.750 0.818
```

The 10 most intense peaks (2θ from 10° to 90°), sorted by position:
index	2θ/deg	d (Å)	Rel. int.
1 1 1	25.98	3.429	42
2 1 1	29.80	2.998	93
4 0 -1	30.06	2.973	37
1 0 -5	31.17	2.869	85
4 0 -3	31.96	2.800	67
0 0 5	32.40	2.763	38
2 1 2	32.76	2.733	84
3 1 0	33.19	2.700	55
2 1 -4	35.40	2.535	100
0 2 0	47.70	1.906	51

=====

Record 4
SmTm2Sn9: computed X-ray diffraction stick pattern (Cu Kα), based on a DFT-relaxed cell (GGA-PBE, Alexandria).
Peak positions follow from Bragg's law for the DFT cell and can differ from measured ones.

Cell and atoms:
```
data_SmTm2Sn9
_chemical_formula_sum 'Sm1 Tm2 Sn9'
_cell_length_a 4.689
_cell_length_b 4.689
_cell_length_c 14.308
_cell_angle_alpha 90.00
_cell_angle_beta 90.00
_cell_angle_gamma 90.00
_space_group_name_H-M_alt 'P 4/m m m'
_space_group_IT_number 123
_space_group_name_Hall '-P 4 2'
loop_
_atom_site_label
_atom_site_fract_x
_atom_site_fract_y
_atom_site_fract_z
Sm1 0.000 0.000 0.000
Tm1 0.000 0.000 0.333
Sn1 0.000 0.500 0.170
Sn2 0.000 0.500 0.500
Sn3 0.500 0.500 0.000
Sn4 0.500 0.500 0.335
```

The 10 most intense peaks (2θ from 10° to 90°), sorted by position:
index	2θ/deg	d (Å)	Rel. int.
1 1 3	32.90	2.722	100
0 0 6	37.72	2.385	17
2 0 0	38.40	2.344	33
2 0 6	54.92	1.672	24
2 2 0	55.43	1.658	12
1 1 9	65.07	1.434	14
3 1 3	65.98	1.416	28
2 2 6	69.00	1.361	12
0 0 12	80.56	1.192	2
4 0 0	82.25	1.172	4

=====

Record 5
Sm4Tm3Sn4: computed X-ray diffraction stick pattern (Cu Kα), based on a DFT-relaxed cell (GGA-PBE, Alexandria).
Peak positions follow from Bragg's law for the DFT cell and can differ from measured ones.

Cell and atoms:
```
data_Sm4Tm3Sn4
_chemical_formula_sum 'Sm8 Tm6 Sn8'
_cell_length_a 3.531
_cell_length_b 9.546
_cell_length_c 18.903
_cell_angle_alpha 90.00
_cell_angle_beta 90.00
_cell_angle_gamma 90.00
_space_group_name_H-M_alt 'I m m m'
_space_group_IT_number 71
_space_group_name_Hall '-I 2 2'
loop_
_atom_site_label
_atom_site_fract_x
_atom_site_fract_y
_atom_site_fract_z
Sm1 0.000 0.178 0.163
Tm1 0.000 0.000 0.409
Tm2 0.000 0.500 0.500
Sn1 0.000 0.280 0.000
Sn2 0.000 0.500 0.224
```

The 10 most intense peaks (2θ from 10° to 90°), sorted by position:
index	2θ/deg	d (Å)	Rel. int.
1 0 3	28.99	3.080	32
0 3 3	31.50	2.840	82
1 2 1	31.88	2.807	100
1 1 4	33.03	2.712	81
0 2 6	34.10	2.629	47
0 1 7	34.52	2.598	32
1 0 5	34.77	2.580	37
1 3 2	39.29	2.293	30
1 3 6	48.13	1.891	30
1 5 4	58.31	1.582	29

=====

Record 6
SmTmSn2: computed X-ray diffraction stick pattern (Cu Kα), based on a DFT-relaxed cell (GGA-PBE, Alexandria).
Peak positions follow from Bragg's law for the DFT cell and can differ from measured ones.

Cell and atoms:
```
data_SmTmSn2
_chemical_formula_sum 'Sm2 Tm2 Sn4'
_cell_length_a 4.303
_cell_length_b 6.166
_cell_length_c 8.415
_cell_angle_alpha 90.00
_cell_angle_beta 90.00
_cell_angle_gamma 90.00
_space_group_name_H-M_alt 'P m c 21'
_space_group_IT_number 26
_space_group_name_Hall 'P 2c -2'
loop_
_atom_site_label
_atom_site_fract_x
_atom_site_fract_y
_atom_site_fract_z
Sm1 0.000 0.127 0.000
Tm1 0.500 0.375 0.635
Sn1 0.000 0.406 0.361
Sn2 0.500 0.090 0.273
```

The 10 most intense peaks (2θ from 10° to 90°), sorted by position:
index	2θ/deg	d (Å)	Rel. int.
1 1 1	27.41	3.254	46
1 0 2	29.70	3.008	86
0 2 1	30.89	2.895	71
1 1 2	33.13	2.704	100
0 1 3	35.15	2.553	39
1 2 1	37.44	2.402	83
2 0 0	41.99	2.152	41
0 1 4	45.56	1.991	33
2 2 1	53.03	1.727	32
2 1 4	63.68	1.461	25

=====

Record 7
Sm2YSn9: computed X-ray diffraction stick pattern (Cu Kα), based on a DFT-relaxed cell (GGA-PBE, Alexandria).
Peak positions follow from Bragg's law for the DFT cell and can differ from measured ones.

Cell and atoms:
```
data_Sm2YSn9
_chemical_formula_sum 'Sm2 Y1 Sn9'
_cell_length_a 4.814
_cell_length_b 4.814
_cell_length_c 13.795
_cell_angle_alpha 90.00
_cell_angle_beta 90.00
_cell_angle_gamma 90.00
_space_group_name_H-M_alt 'P 4/m m m'
_space_group_IT_number 123
_space_group_name_Hall '-P 4 2'
loop_
_atom_site_label
_atom_site_fract_x
_atom_site_fract_y
_atom_site_fract_z
Sm1 0.000 0.000 0.167
Y1 0.000 0.000 0.500
Sn1 0.000 0.500 0.000
Sn2 0.000 0.500 0.335
Sn3 0.500 0.500 0.168
Sn4 0.500 0.500 0.500
```

The 10 most intense peaks (2θ from 10° to 90°), sorted by position:
index	2θ/deg	d (Å)	Rel. int.
1 1 3	32.73	2.736	100
2 0 0	37.36	2.407	35
0 0 6	39.18	2.299	15
2 2 0	53.86	1.702	12
2 0 6	55.25	1.663	23
3 1 3	64.47	1.445	29
1 1 9	66.95	1.398	13
2 2 6	68.60	1.368	12
4 0 0	79.66	1.204	4
3 3 3	88.82	1.102	7

=====

Record 8
Sm4YSn4: computed X-ray diffraction stick pattern (Cu Kα), based on a DFT-relaxed cell (GGA-PBE, Alexandria).
Peak positions follow from Bragg's law for the DFT cell and can differ from measured ones.

Cell and atoms:
```
data_Sm4YSn4
_chemical_formula_sum 'Sm8 Y2 Sn8'
_cell_length_a 9.693
_cell_length_b 9.693
_cell_length_c 6.328
_cell_angle_alpha 90.00
_cell_angle_beta 90.00
_cell_angle_gamma 90.00
_space_group_name_H-M_alt 'P 42/n'
_space_group_IT_number 86
loop_
_space_group_symop_operation_xyz
'x,y,z'
'-x,-y,-z'
'-y,x+1/2,z+1/2'
'y,-x+1/2,-z+1/2'
'-x+1/2,-y+1/2,z'
'x+1/2,y+1/2,-z'
'y+1/2,-x,z+1/2'
'-y+1/2,x,-z+1/2'
loop_
_atom_site_label
_atom_site_fract_x
_atom_site_fract_y
_atom_site_fract_z
Sm1 0.067 0.661 0.126
Y1 0.250 0.250 0.250
Sn1 0.022 0.630 0.626
```

The 10 most intense peaks (2θ from 10° to 90°), sorted by position:
index	2θ/deg	d (Å)	Rel. int.
1 1 0	12.92	6.854	14
1 3 0	29.13	3.065	100
1 0 2	29.70	3.008	58
1 2 2	35.11	2.556	36
3 0 2	39.87	2.261	26
4 2 0	41.67	2.167	32
3 2 2	44.21	2.049	35
4 1 2	48.23	1.887	19
2 5 2	59.04	1.565	16
1 3 4	66.51	1.406	16

=====

Record 9
Sm2Y3Sn4: computed X-ray diffraction stick pattern (Cu Kα), based on a DFT-relaxed cell (GGA-PBE, Alexandria).
Peak positions follow from Bragg's law for the DFT cell and can differ from measured ones.

Cell and atoms:
```
data_Sm2Y3Sn4
_chemical_formula_sum 'Sm4 Y6 Sn8'
_cell_length_a 8.352
_cell_length_b 8.314
_cell_length_c 8.018
_cell_angle_alpha 90.00
_cell_angle_beta 110.88
_cell_angle_gamma 90.00
_space_group_name_H-M_alt 'P 1 21/c 1'
_space_group_IT_number 14
_space_group_name_Hall '-P 2ybc'
loop_
_atom_site_label
_atom_site_fract_x
_atom_site_fract_y
_atom_site_fract_z
Sm1 0.193 0.179 0.061
Y1 0.245 0.667 0.238
Y2 0.500 0.000 0.500
Sn1 0.083 0.537 0.835
Sn2 0.487 0.135 0.864
```

The 10 most intense peaks (2θ from 10° to 90°), sorted by position:
index	2θ/deg	d (Å)	Rel. int.
2 1 -2	28.60	3.121	60
1 2 1	28.83	3.096	47
2 2 -1	30.58	2.924	100
1 2 -2	31.13	2.873	54
2 1 1	31.29	2.859	31
2 2 0	31.44	2.845	40
1 1 2	31.83	2.811	98
3 0 -2	34.26	2.617	51
3 0 0	34.50	2.600	99
1 1 -3	35.30	2.543	75

=====

Record 10
Sm2Y2Sn3: computed X-ray diffraction stick pattern (Cu Kα), based on a DFT-relaxed cell (GGA-PBE, Alexandria).
Peak positions follow from Bragg's law for the DFT cell and can differ from measured ones.

Cell and atoms:
```
data_Sm2Y2Sn3
_chemical_formula_sum 'Sm4 Y4 Sn6'
_cell_length_a 10.704
_cell_length_b 5.036
_cell_length_c 8.645
_cell_angle_alpha 90.00
_cell_angle_beta 100.49
_cell_angle_gamma 90.00
_space_group_name_H-M_alt 'C 1 2/m 1'
_space_group_IT_number 12
_space_group_name_Hall '-C 2y'
loop_
_atom_site_label
_atom_site_fract_x
_atom_site_fract_y
_atom_site_fract_z
Sm1 0.128 0.000 0.352
Y1 0.143 0.500 0.921
Sn1 0.000 0.000 0.000
Sn2 0.202 0.000 0.720
```

The 10 most intense peaks (2θ from 10° to 90°), sorted by position:
index	2θ/deg	d (Å)	Rel. int.
1 1 0	19.54	4.543	43
2 0 2	29.32	3.047	44
3 1 -1	31.28	2.859	100
0 0 3	31.58	2.834	24
0 2 0	35.66	2.518	42
1 1 -3	36.01	2.494	65
3 1 2	40.38	2.234	35
2 2 2	46.81	1.941	27
0 2 3	48.35	1.882	17
5 1 1	49.90	1.827	18

=====

Record 11
Sm5Y3Sn2: computed X-ray diffraction stick pattern (Cu Kα), based on a DFT-relaxed cell (GGA-PBE, Alexandria).
Peak positions follow from Bragg's law for the DFT cell and can differ from measured ones.

Cell and atoms:
```
data_Sm5Y3Sn2
_chemical_formula_sum 'Sm10 Y6 Sn4'
_cell_length_a 6.541
_cell_length_b 9.959
_cell_length_c 9.972
_cell_angle_alpha 101.90
_cell_angle_beta 94.39
_cell_angle_gamma 94.41
_space_group_name_H-M_alt 'P -1'
_space_group_IT_number 2
_space_group_name_Hall '-P 1'
loop_
_atom_site_label
_atom_site_fract_x
_atom_site_fract_y
_atom_site_fract_z
Sm1 0.056 0.177 0.282
Sm2 0.104 0.293 0.969
Sm3 0.250 0.965 0.035
Sm4 0.396 0.030 0.707
Sm5 0.444 0.717 0.824
Y1 0.068 0.827 0.392
Y2 0.250 0.509 0.493
Y3 0.432 0.609 0.173
Sn1 0.048 0.495 0.769
Sn2 0.450 0.231 0.505
```

The 10 most intense peaks (2θ from 10° to 90°), sorted by position:
index	2θ/deg	d (Å)	Rel. int.
-1 1 2	24.67	3.608	22
1 2 -2	26.82	3.324	24
1 -3 0	29.66	3.012	55
0 1 3	30.94	2.890	67
2 0 -2	31.67	2.825	47
-1 1 3	32.46	2.758	21
2 1 1	32.62	2.745	61
1 3 -2	33.22	2.697	100
0 4 0	37.04	2.427	21
1 4 1	44.14	2.052	27

=====

Record 12
SmZnSn2: computed X-ray diffraction stick pattern (Cu Kα), based on a DFT-relaxed cell (GGA-PBE, Alexandria).
Peak positions follow from Bragg's law for the DFT cell and can differ from measured ones.

Cell and atoms:
```
data_SmZnSn2
_chemical_formula_sum 'Sm2 Zn2 Sn4'
_cell_length_a 4.412
_cell_length_b 4.412
_cell_length_c 9.960
_cell_angle_alpha 90.00
_cell_angle_beta 90.00
_cell_angle_gamma 90.00
_space_group_name_H-M_alt 'P 4/n m m'
_space_group_IT_number 129
loop_
_space_group_symop_operation_xyz
'x,y,z'
'-x,-y,-z'
'-y+1/2,x,z'
'y+1/2,-x,-z'
'-x+1/2,-y+1/2,z'
'x+1/2,y+1/2,-z'
'y,-x+1/2,z'
'-y,x+1/2,-z'
'x+1/2,-y,-z'
'-x+1/2,y,z'
'-y,-x,-z'
'y,x,z'
'-x,y+1/2,-z'
'x,-y+1/2,z'
'y+1/2,x+1/2,-z'
'-y+1/2,-x+1/2,z'
loop_
_atom_site_label
_atom_site_fract_x
_atom_site_fract_y
_atom_site_fract_z
Sm1 0.250 0.250 0.248
Zn1 0.250 0.750 0.000
Sn1 0.250 0.250 0.820
Sn2 0.250 0.750 0.500
```

The 10 most intense peaks (2θ from 10° to 90°), sorted by position:
index	2θ/deg	d (Å)	Rel. int.
1 0 2	27.00	3.303	8
1 1 1	30.01	2.977	8
1 1 2	33.91	2.644	100
0 0 4	36.07	2.490	12
2 0 0	40.91	2.206	37
2 0 3	49.64	1.836	9
1 0 5	50.25	1.816	9
2 0 4	55.66	1.651	14
2 2 0	59.23	1.560	12
3 1 2	70.03	1.344	26